No. 1
Calculated X-ray diffraction stick pattern of Zn for λ = 1.5418 Å (Cu Kα), from a crystal structure in the Materials Project, relaxed with GGA-PBE.
Lines closer than 0.1° are merged.

Largest 5 diffraction maxima, low angle first, 2θ = 10–90°:
2θ/deg  I (rel.)
39.73  1000
46.20  480
67.41  288
81.18  331
85.63  96

Atomic structure:
abc: 3.9296 3.9296 3.9296
angles: 90.00 90.00 90.00
Positions (direct):
Zn  0.0000  0.0000  0.0000
Zn  0.0000  0.5000  0.5000
Zn  0.5000  0.0000  0.5000
Zn  0.5000  0.5000  0.0000


No. 2
Calculated X-ray diffraction stick pattern of BaZn13 for λ = 1.5418 Å (Cu Kα), from a crystal structure in the Materials Project, relaxed with GGA-PBE.
Lines closer than 0.1° are merged.

Largest 10 diffraction maxima, low angle first, 2θ = 10–90°:
2θ/deg  I (rel.)
32.28  391
35.46  812
43.15  1000
43.79  248
46.29  170
55.44  125
61.67  130
68.98  159
75.03  135
83.60  136

Atomic structure:
abc: 8.7705 8.7705 8.7705
angles: 60.00 60.00 60.00
Positions (direct):
Ba  0.2500  0.2500  0.2500
Ba  0.7500  0.7500  0.7500
Zn  0.0000  0.0000  0.0000
Zn  0.0595  0.2992  0.7008
Zn  0.0595  0.7008  0.9405
Zn  0.0595  0.9405  0.2992
Zn  0.2008  0.4405  0.7992
Zn  0.2008  0.5595  0.4405
Zn  0.2008  0.7992  0.5595
Zn  0.2992  0.0595  0.9405
Zn  0.2992  0.7008  0.0595
Zn  0.2992  0.9405  0.7008
Zn  0.4405  0.2008  0.5595
Zn  0.4405  0.5595  0.7992
Zn  0.4405  0.7992  0.2008
Zn  0.5000  0.5000  0.5000
Zn  0.5595  0.2008  0.7992
Zn  0.5595  0.4405  0.2008
Zn  0.5595  0.7992  0.4405
Zn  0.7008  0.0595  0.2992
Zn  0.7008  0.2992  0.9405
Zn  0.7008  0.9405  0.0595
Zn  0.7992  0.2008  0.4405
Zn  0.7992  0.4405  0.5595
Zn  0.7992  0.5595  0.2008
Zn  0.9405  0.0595  0.7008
Zn  0.9405  0.2992  0.0595
Zn  0.9405  0.7008  0.2992


No. 3
Calculated X-ray diffraction stick pattern of Sr2LuCu2Bi2O8 for λ = 1.5418 Å (Cu Kα), from a crystal structure in the Materials Project, relaxed with GGA-PBE.
Lines closer than 0.1° are merged.

Largest 10 diffraction maxima, low angle first, 2θ = 10–90°:
2θ/deg  I (rel.)
11.59  280
25.13  401
27.75  367
31.31  1000
33.52  836
45.07  341
48.14  389
56.73  186
58.55  357
77.52  186

Atomic structure:
abc: 15.5040 15.5040 15.5040
angles: 165.99 165.99 19.86
Positions (direct):
Sr  0.1147  0.1147  0.0000
Sr  0.8853  0.8853  0.0000
Lu  0.0000  0.0000  0.0000
Cu  0.4478  0.4478  0.0000
Cu  0.5522  0.5522  0.0000
Bi  0.2952  0.2952  0.0000
Bi  0.7048  0.7048  0.0000
O  0.0468  0.5468  0.5000
O  0.2029  0.2029  0.0000
O  0.3655  0.3655  0.0000
O  0.4532  0.9532  0.5000
O  0.5468  0.0468  0.5000
O  0.6345  0.6345  0.0000
O  0.7971  0.7971  0.0000
O  0.9532  0.4532  0.5000


No. 4
Calculated X-ray diffraction stick pattern of Na2EuCuCl6 for λ = 1.5418 Å (Cu Kα), from a crystal structure in the Materials Project, relaxed with GGA-PBE.
Lines closer than 0.1° are merged.

Largest 10 diffraction maxima, low angle first, 2θ = 10–90°:
2θ/deg  I (rel.)
17.12  1000
24.31  545
28.59  145
34.64  652
38.89  472
42.77  250
49.80  422
53.05  229
62.09  136
83.48  169

Atomic structure:
abc: 7.3234 7.3234 7.3234
angles: 60.00 60.00 60.00
Positions (direct):
Na  0.2500  0.2500  0.2500
Na  0.7500  0.7500  0.7500
Eu  0.0000  0.0000  0.0000
Cu  0.5000  0.5000  0.5000
Cl  0.2625  0.2625  0.7375
Cl  0.2625  0.7375  0.2625
Cl  0.2625  0.7375  0.7375
Cl  0.7375  0.2625  0.2625
Cl  0.7375  0.2625  0.7375
Cl  0.7375  0.7375  0.2625


No. 5
Calculated X-ray diffraction stick pattern of PuAl3 for λ = 1.5418 Å (Cu Kα), from a crystal structure in the Materials Project, relaxed with GGA-PBE.
Lines closer than 0.1° are merged.

Largest 10 diffraction maxima, low angle first, 2θ = 10–90°:
2θ/deg  I (rel.)
16.59  360
25.14  1000
28.94  459
33.54  181
38.03  174
38.70  738
48.49  234
49.04  313
66.06  152
73.25  153

Atomic structure:
abc: 6.1703 6.1703 4.7321
angles: 90.00 90.00 120.00
Positions (direct):
Pu  0.3333  0.6667  0.2500
Pu  0.6667  0.3333  0.7500
Al  0.1562  0.3125  0.7500
Al  0.1562  0.8438  0.7500
Al  0.3125  0.1562  0.2500
Al  0.6875  0.8438  0.7500
Al  0.8438  0.1562  0.2500
Al  0.8438  0.6875  0.2500


No. 6
Calculated X-ray diffraction stick pattern of GaSe2NO8 for λ = 1.5418 Å (Cu Kα), from a crystal structure in the Materials Project, relaxed with GGA-PBE.
Lines closer than 0.1° are merged.

Largest 10 diffraction maxima, low angle first, 2θ = 10–90°:
2θ/deg  I (rel.)
22.29  1000
28.05  480
35.06  301
35.78  124
44.65  116
45.49  113
50.96  87
55.78  134
58.69  115
62.47  117

Atomic structure:
abc: 5.1191 5.1191 9.1320
angles: 90.00 90.00 120.00
Positions (direct):
Ga  0.0000  0.0000  0.0000
Se  0.3333  0.6667  0.2019
Se  0.6667  0.3333  0.7981
N  0.0000  0.0000  0.5000
O  0.0650  0.3278  0.1395
O  0.2627  0.9350  0.1395
O  0.3278  0.0650  0.8605
O  0.3333  0.6667  0.3821
O  0.6667  0.3333  0.6179
O  0.6722  0.7373  0.1395
O  0.7373  0.6722  0.8605
O  0.9350  0.2627  0.8605


No. 7
Calculated X-ray diffraction stick pattern of ErAgS2 for λ = 1.5418 Å (Cu Kα), from a crystal structure in the Materials Project, relaxed with GGA-PBE.
Lines closer than 0.1° are merged.

Largest 10 diffraction maxima, low angle first, 2θ = 10–90°:
2θ/deg  I (rel.)
27.55  557
28.86  167
32.31  1000
45.48  376
47.19  334
54.76  174
56.88  189
75.67  161
78.20  146
85.30  120

Atomic structure:
abc: 3.9888 3.9888 18.5631
angles: 90.00 90.00 120.00
Positions (direct):
Er  0.0000  0.0000  0.0000
Er  0.3333  0.6667  0.6667
Er  0.6667  0.3333  0.3333
Ag  0.0000  0.0000  0.5000
Ag  0.3333  0.6667  0.1667
Ag  0.6667  0.3333  0.8333
S  0.0000  0.0000  0.2540
S  0.0000  0.0000  0.7460
S  0.3333  0.6667  0.4127
S  0.3333  0.6667  0.9206
S  0.6667  0.3333  0.0794
S  0.6667  0.3333  0.5873